The following is a theoretical X-ray diffraction stick pattern of La2PmPr7Tl2. It was derived from the GGA-PBE geometry in Alexandria, using Cu Ka.
Kinematic intensities with the Lorentz-polarization factor, no thermal factor.

Peak list (6 most intense, 2θ = 10–80°, low angle first)
29.00°, 3.079 Å, I = 100; 30.66°, 2.916 Å, I = 69; 34.50°, 2.600 Å, I = 54; 34.76°, 2.581 Å, I = 57; 49.78°, 1.832 Å, I = 34; 60.42°, 1.532 Å, I = 25

Crystal structure
Cell lengths 6.257, 6.257, 11.507 Å; angles 90.00, 90.00, 111.25 degrees
Element x y z (fractional)
La 0.000 0.000 0.148
La 0.000 0.000 0.852
Pm 0.500 0.500 0.500
Pr 0.000 0.000 0.500
Pr 0.000 0.500 0.332
Pr 0.000 0.500 0.668
Pr 0.314 0.686 0.000
Pr 0.500 0.000 0.332
Pr 0.500 0.000 0.668
Pr 0.686 0.314 0.000
Tl 0.500 0.500 0.225
Tl 0.500 0.500 0.775